1.
The following is a theoretical powder XRD pattern of LaB4ClO8. It was derived from a PBE-relaxed structure, using Cu Kα X-rays.
Intensities are scaled so that the largest is 100.

Structural model:
```
LaB4ClO8
1.0
3.307 -5.696 0.000
3.307 5.696 0.000
-2.718 0.000 9.497
La B Cl O
2 8 2 16
Direct
0.206 0.794 0.500
0.794 0.206 0.000
0.141 0.249 0.579
0.249 0.141 0.079
0.370 0.860 0.152
0.503 0.573 0.065
0.573 0.503 0.565
0.767 0.950 0.628
0.860 0.370 0.652
0.950 0.767 0.128
0.317 0.962 0.805
0.962 0.317 0.305
0.003 0.821 0.281
0.010 0.979 0.070
0.096 0.427 0.619
0.109 0.676 0.100
0.287 0.359 0.051
0.359 0.287 0.551
0.404 0.871 0.301
0.427 0.096 0.119
0.517 0.790 0.083
0.563 0.705 0.560
0.676 0.109 0.600
0.705 0.563 0.060
0.790 0.517 0.583
0.821 0.003 0.781
0.871 0.404 0.801
0.979 0.010 0.570
```

Peak list (12 most intense, 10° ≤ 2θ ≤ 80°, by angle)
2theta  I/Imax
15.6  69
16.0  26
16.4  100
18.7  83
20.4  54
27.4  35
28.9  42
31.3  37
35.9  33
41.8  26
41.9  24
42.7  27


2.
The following is a theoretical powder XRD pattern of ScAlGe. It was derived from a PBE-relaxed structure, using Cu Kα X-rays.
Intensities are scaled so that the largest is 100.

Structural model:
```
ScAlGe
1.0
3.977 0.000 0.000
0.000 9.866 0.000
0.000 0.000 5.547
Sc Al Ge
4 4 4
Direct
0.000 0.191 0.250
0.000 0.809 0.750
0.500 0.309 0.750
0.500 0.691 0.250
0.000 0.500 0.000
0.000 0.500 0.500
0.500 0.000 0.000
0.500 0.000 0.500
0.000 0.112 0.750
0.000 0.888 0.250
0.500 0.388 0.250
0.500 0.612 0.750
```

Peak list (12 most intense, 10° ≤ 2θ ≤ 80°, by angle)
2theta  I/Imax
24.1  80
32.3  41
35.4  83
39.1  79
40.0  24
40.7  100
45.6  38
49.4  25
58.5  17
62.1  19
69.5  18
73.3  20


3.
The following is a theoretical powder XRD pattern of Rb4MgSe4O14. It was derived from a PBE-relaxed structure, using Cu Kα X-rays.
Intensities are scaled so that the largest is 100.

Structural model:
```
Rb4MgSe4O14
1.0
7.703 0.000 0.000
-3.452 7.074 0.000
-0.065 -0.560 8.163
Rb Mg Se O
4 1 4 14
Direct
0.000 0.000 0.000
0.009 0.728 0.473
0.441 0.349 0.356
0.504 0.846 0.642
0.287 0.574 0.026
0.494 0.344 0.799
0.515 0.917 0.179
0.889 0.490 0.013
0.966 0.194 0.522
0.003 0.372 0.089
0.029 0.103 0.354
0.056 0.644 0.898
0.156 0.396 0.592
0.360 0.015 0.175
0.372 0.372 0.957
0.372 0.695 0.258
0.376 0.139 0.698
0.506 0.820 0.978
0.607 0.534 0.698
0.692 0.304 0.893
0.774 0.235 0.484
0.793 0.586 0.144
0.906 0.027 0.660
```

Peak list (12 most intense, 10° ≤ 2θ ≤ 80°, by angle)
2theta  I/Imax
22.7  32
24.4  10
24.7  13
24.9  27
25.3  18
25.8  100
26.0  17
26.8  19
28.2  12
29.9  19
35.9  17
45.9  13


4.
The following is a theoretical powder XRD pattern of TbSi3Rh. It was derived from a PBE-relaxed structure, using Cu Kα X-rays.
Intensities are scaled so that the largest is 100.

Structural model:
```
TbSi3Rh
1.0
4.175 0.000 0.000
0.000 4.175 0.000
0.000 0.000 9.807
Tb Si Rh
2 6 2
Direct
0.000 0.000 0.000
0.500 0.500 0.500
0.000 0.000 0.416
0.000 0.500 0.265
0.000 0.500 0.765
0.500 0.000 0.265
0.500 0.000 0.765
0.500 0.500 0.916
0.000 0.000 0.654
0.500 0.500 0.154
```

Peak list (12 most intense, 10° ≤ 2θ ≤ 80°, by angle)
2theta  I/Imax
18.1  17
23.2  43
30.3  59
34.9  100
35.5  61
43.3  48
51.5  21
56.8  49
63.0  16
65.2  17
69.5  17
74.4  14


5.
The following is a theoretical powder XRD pattern of TcPt. It was derived from a PBE-relaxed structure, using Cu Kα X-rays.
Intensities are scaled so that the largest is 100.

Structural model:
```
TcPt
1.0
2.758 0.000 0.000
-1.379 2.389 0.000
0.000 0.000 13.689
Tc Pt
3 3
Direct
0.000 0.000 0.000
0.333 0.667 0.667
0.667 0.333 0.333
0.000 0.000 0.500
0.333 0.667 0.167
0.667 0.333 0.833
```

Peak list (11 most intense, 10° ≤ 2θ ≤ 80°, by angle)
2theta  I/Imax
19.5  19
38.2  11
39.5  34
40.0  100
46.4  66
50.7  5
60.9  1
61.3  3
67.3  22
68.0  21
71.5  4


6.
The following is a theoretical powder XRD pattern of CeAlSi. It was derived from a PBE-relaxed structure, using Cu Kα X-rays.
Intensities are scaled so that the largest is 100.

Structural model:
```
CeAlSi
1.0
4.204 0.000 0.000
0.000 4.204 0.000
0.000 0.000 14.655
Ce Al Si
4 4 4
Direct
0.000 0.000 0.000
0.000 0.500 0.250
0.500 0.000 0.750
0.500 0.500 0.500
0.000 0.000 0.584
0.000 0.500 0.834
0.500 0.000 0.334
0.500 0.500 0.084
0.000 0.000 0.418
0.000 0.500 0.668
0.500 0.000 0.168
0.500 0.500 0.918
```

Peak list (12 most intense, 10° ≤ 2θ ≤ 80°, by angle)
2theta  I/Imax
22.0  38
24.3  23
28.0  51
32.5  100
37.4  43
43.0  31
48.6  20
50.0  13
52.1  18
58.3  23
66.9  15
72.2  20


7.
The following is a theoretical powder XRD pattern of Sr3CaSn4O12. It was derived from a PBE-relaxed structure, using Cu Kα X-rays.
Intensities are scaled so that the largest is 100.

Structural model:
```
Sr3CaSn4O12
1.0
5.748 0.000 0.000
0.000 8.144 0.000
-0.005 0.000 5.803
Sr Ca Sn O
3 1 4 12
Direct
0.000 0.000 0.000
0.015 0.500 0.070
0.517 0.000 0.506
0.499 0.500 0.584
0.008 0.253 0.537
0.008 0.747 0.537
0.510 0.252 0.038
0.510 0.748 0.038
0.085 0.000 0.553
0.224 0.294 0.821
0.224 0.706 0.821
0.304 0.300 0.331
0.304 0.700 0.331
0.432 0.000 0.059
0.586 0.500 0.999
0.722 0.209 0.751
0.722 0.791 0.751
0.801 0.210 0.247
0.801 0.790 0.247
0.911 0.500 0.518
```

Peak list (12 most intense, 10° ≤ 2θ ≤ 80°, by angle)
2theta  I/Imax
21.8  19
30.8  25
31.0  100
31.1  24
44.4  29
44.5  15
54.9  19
55.1  11
55.3  36
64.7  16
73.3  8
73.5  13